No. 1
This entry pairs a crystal structure of TbNdDy2Th with its simulated powder diffraction line list. Radiation: a wavelength of 1.5418 Å. Structure: a crystal structure in Alexandria, relaxed with PBE.

Structural model:
a b c (Å): 8.9343 8.9343 6.4351
angles (deg): 90.00 90.00 137.59
Element x y z (fractional)
1 Tb 0.2287 0.7713 0.7500
2 Tb 0.7713 0.2287 0.2500
3 Nd 0.3427 0.6573 0.2500
4 Nd 0.6573 0.3427 0.7500
5 Dy 0.2455 0.2455 0.0000
6 Dy 0.2455 0.2455 0.5000
7 Dy 0.7545 0.7545 0.0000
8 Dy 0.7545 0.7545 0.5000
9 Th 0.1556 0.8444 0.2500
10 Th 0.8444 0.1556 0.7500

Main lines, in order of rising 2θ (10 to 90 degrees two-theta):
| d [Å] | 2θ (°) | intensity |
| --- | --- | --- |
| 3.524 | 25.27 | 37.5 |
| 3.013 | 29.65 | 100.0 |
| 3.001 | 29.77 | 99.2 |
| 2.690 | 33.30 | 92.2 |
| 2.554 | 35.14 | 41.0 |
| 2.280 | 39.53 | 88.4 |

---

No. 2
This entry pairs a crystal structure of ScCuH8Ir2 with its simulated powder diffraction line list. Radiation: a wavelength of 1.5418 Å. Structure: a crystal structure in Alexandria, relaxed with PBE.

Structural model:
a b c (Å): 4.5890 4.5890 5.7860
angles (deg): 109.95 109.95 55.99
Element x y z (fractional)
1 Sc 0.0000 0.0000 0.0000
2 Cu 0.5000 0.5000 0.5000
3 H 0.1015 0.5922 0.1770
4 H 0.2502 0.2502 0.3849
5 H 0.4078 0.8985 0.8230
6 H 0.4152 0.4152 0.8646
7 H 0.5848 0.5848 0.1354
8 H 0.5922 0.1015 0.1770
9 H 0.7498 0.7498 0.6151
10 H 0.8985 0.4078 0.8230
11 Ir 0.2056 0.2056 0.6537
12 Ir 0.7944 0.7944 0.3463

Main lines, in order of rising 2θ (10 to 90 degrees two-theta):
| d [Å] | 2θ (°) | intensity |
| --- | --- | --- |
| 5.337 | 16.61 | 100.0 |
| 3.380 | 26.37 | 72.3 |
| 2.814 | 31.80 | 94.9 |
| 2.282 | 39.48 | 97.8 |
| 2.155 | 41.92 | 77.6 |
| 1.997 | 45.43 | 62.9 |

---

No. 3
This entry pairs a crystal structure of TlNi2Mo with its simulated powder diffraction line list. Radiation: a wavelength of 1.5418 Å. Structure: a crystal structure in Alexandria, relaxed with PBE.

Structural model:
a b c (Å): 2.8697 2.8697 7.3666
angles (deg): 90.00 90.00 90.00
Element x y z (fractional)
1 Tl 0.0000 0.0000 0.0000
2 Ni 0.5000 0.5000 0.2750
3 Ni 0.5000 0.5000 0.7250
4 Mo 0.0000 0.0000 0.5000

Main lines, in order of rising 2θ (10 to 90 degrees two-theta):
| d [Å] | 2θ (°) | intensity |
| --- | --- | --- |
| 3.683 | 24.16 | 15.3 |
| 2.870 | 31.17 | 15.0 |
| 2.264 | 39.82 | 100.0 |
| 2.029 | 44.66 | 37.0 |
| 1.364 | 68.85 | 17.7 |
| 1.212 | 79.01 | 26.2 |

---

Please write out number 2 again, unchanged.
This entry pairs a crystal structure of ScCuH8Ir2 with its simulated powder diffraction line list. Radiation: a wavelength of 1.5418 Å. Structure: a crystal structure in Alexandria, relaxed with PBE.

Structural model:
a b c (Å): 4.5890 4.5890 5.7860
angles (deg): 109.95 109.95 55.99
Element x y z (fractional)
1 Sc 0.0000 0.0000 0.0000
2 Cu 0.5000 0.5000 0.5000
3 H 0.1015 0.5922 0.1770
4 H 0.2502 0.2502 0.3849
5 H 0.4078 0.8985 0.8230
6 H 0.4152 0.4152 0.8646
7 H 0.5848 0.5848 0.1354
8 H 0.5922 0.1015 0.1770
9 H 0.7498 0.7498 0.6151
10 H 0.8985 0.4078 0.8230
11 Ir 0.2056 0.2056 0.6537
12 Ir 0.7944 0.7944 0.3463

Main lines, in order of rising 2θ (10 to 90 degrees two-theta):
| d [Å] | 2θ (°) | intensity |
| --- | --- | --- |
| 5.337 | 16.61 | 100.0 |
| 3.380 | 26.37 | 72.3 |
| 2.814 | 31.80 | 94.9 |
| 2.282 | 39.48 | 97.8 |
| 2.155 | 41.92 | 77.6 |
| 1.997 | 45.43 | 62.9 |

---

Repeat the second record exactly.
This entry pairs a crystal structure of ScCuH8Ir2 with its simulated powder diffraction line list. Radiation: a wavelength of 1.5418 Å. Structure: a crystal structure in Alexandria, relaxed with PBE.

Structural model:
a b c (Å): 4.5890 4.5890 5.7860
angles (deg): 109.95 109.95 55.99
Element x y z (fractional)
1 Sc 0.0000 0.0000 0.0000
2 Cu 0.5000 0.5000 0.5000
3 H 0.1015 0.5922 0.1770
4 H 0.2502 0.2502 0.3849
5 H 0.4078 0.8985 0.8230
6 H 0.4152 0.4152 0.8646
7 H 0.5848 0.5848 0.1354
8 H 0.5922 0.1015 0.1770
9 H 0.7498 0.7498 0.6151
10 H 0.8985 0.4078 0.8230
11 Ir 0.2056 0.2056 0.6537
12 Ir 0.7944 0.7944 0.3463

Main lines, in order of rising 2θ (10 to 90 degrees two-theta):
| d [Å] | 2θ (°) | intensity |
| --- | --- | --- |
| 5.337 | 16.61 | 100.0 |
| 3.380 | 26.37 | 72.3 |
| 2.814 | 31.80 | 94.9 |
| 2.282 | 39.48 | 97.8 |
| 2.155 | 41.92 | 77.6 |
| 1.997 | 45.43 | 62.9 |